Calculated PXRD pattern of Er2ZnTe2S2O14 for copper Kα, from the GGA-PBE geometry in the Materials Project.
Peak positions follow from Bragg's law for the DFT cell and can differ from measured ones.

The 12 most intense peaks (2θ from 15° to 90°), in order of rising 2θ:
- 24.36°, I = 82
- 24.59°, I = 79
- 25.11°, I = 100
- 26.46°, I = 48
- 27.39°, I = 39
- 30.20°, I = 68
- 30.31°, I = 39
- 33.49°, I = 35
- 34.85°, I = 39
- 35.52°, I = 39
- 37.29°, I = 36
- 42.12°, I = 32

Atomic structure:
```
data_Er2ZnTe2S2O14
_chemical_formula_sum 'Er2 Zn1 Te2 S2 O14'
_cell_length_a 5.275
_cell_length_b 7.893
_cell_length_c 8.170
_cell_angle_alpha 64.14
_cell_angle_beta 73.40
_cell_angle_gamma 85.40
_space_group_name_H-M_alt 'P -1'
_space_group_IT_number 2
loop_
_space_group_symop_operation_xyz
'x,y,z'
'-x,-y,-z'
loop_
_atom_site_label
_atom_site_fract_x
_atom_site_fract_y
_atom_site_fract_z
_atom_site_occupancy
Er1 0.084 0.254 0.016 1
Zn1 0.000 0.000 0.500 1
Te1 0.482 0.726 0.665 1
S1 0.237 0.755 0.247 1
O1 0.102 0.595 0.250 1
O2 0.134 0.771 0.428 1
O3 0.176 0.927 0.087 1
O4 0.243 0.561 0.898 1
O5 0.245 0.922 0.670 1
O6 0.277 0.196 0.245 1
O7 0.472 0.270 0.788 1
```

Calculated PXRD pattern of ErU2S3O2 for copper Kα, from the GGA-PBE geometry in the Materials Project.
Peak positions follow from Bragg's law for the DFT cell and can differ from measured ones.

The 12 most intense peaks (2θ from 15° to 90°), in order of rising 2θ:
- 25.36°, I = 29
- 26.69°, I = 100
- 31.72°, I = 27
- 33.37°, I = 53
- 38.15°, I = 17
- 42.37°, I = 39
- 45.51°, I = 14
- 47.92°, I = 23
- 54.98°, I = 15
- 55.43°, I = 14
- 55.69°, I = 29
- 85.46°, I = 11

Atomic structure:
```
data_ErU2S3O2
_chemical_formula_sum 'Er2 U4 S6 O4'
_cell_length_a 3.797
_cell_length_b 3.797
_cell_length_c 21.073
_cell_angle_alpha 90.00
_cell_angle_beta 90.00
_cell_angle_gamma 90.00
_space_group_name_H-M_alt 'I 4/m m m'
_space_group_IT_number 139
_space_group_name_Hall '-I 4 2'
loop_
_atom_site_label
_atom_site_fract_x
_atom_site_fract_y
_atom_site_fract_z
_atom_site_occupancy
Er1 0.000 0.000 0.000 1
U1 0.000 0.000 0.314 1
S1 0.000 0.000 0.128 1
S2 0.000 0.000 0.500 1
O1 0.000 0.500 0.250 1
```

Calculated PXRD pattern of Er2US3O2 for copper Kα, from the GGA-PBE geometry in the Materials Project.
Peak positions follow from Bragg's law for the DFT cell and can differ from measured ones.

The 12 most intense peaks (2θ from 15° to 90°), in order of rising 2θ:
- 16.80°, I = 15
- 25.31°, I = 28
- 26.81°, I = 100
- 31.80°, I = 27
- 33.59°, I = 57
- 38.20°, I = 28
- 42.52°, I = 38
- 48.24°, I = 25
- 55.24°, I = 14
- 55.50°, I = 19
- 56.04°, I = 28
- 63.13°, I = 13

Atomic structure:
```
data_Er2US3O2
_chemical_formula_sum 'Er4 U2 S6 O4'
_cell_length_a 3.773
_cell_length_b 3.773
_cell_length_c 21.114
_cell_angle_alpha 90.00
_cell_angle_beta 90.00
_cell_angle_gamma 90.00
_space_group_name_H-M_alt 'I 4 m m'
_space_group_IT_number 107
_space_group_name_Hall 'I 4 -2'
loop_
_atom_site_label
_atom_site_fract_x
_atom_site_fract_y
_atom_site_fract_z
_atom_site_occupancy
Er1 0.000 0.000 0.000 1
Er2 0.000 0.000 0.315 1
U1 0.000 0.000 0.693 1
S1 0.000 0.000 0.131 1
S2 0.000 0.000 0.506 1
S3 0.000 0.000 0.874 1
O1 0.000 0.500 0.252 1
```